No. 1
Calculated powder X-ray diffraction pattern of Hf4Zr3N8 for Cu Kα (λ = 1.5418 Å), from a GGA-PBE-relaxed structure.
Kinematic intensities with the Lorentz-polarization factor, no thermal factor.

Crystal structure
Lattice parameters (Å, degrees): 6.432 6.432 6.426 119.95 119.95 90.02
Fractional coordinates of all 15 atoms:
Hf  0.000  0.000  0.000
Hf  0.000  0.000  0.500
Hf  0.000  0.500  0.000
Hf  0.500  0.000  0.000
Zr  0.000  0.500  0.500
Zr  0.500  0.000  0.500
Zr  0.500  0.500  0.500
N  0.236  0.236  0.479
N  0.237  0.237  0.993
N  0.240  0.760  0.000
N  0.246  0.754  0.500
N  0.754  0.246  0.500
N  0.760  0.240  0.000
N  0.763  0.763  0.007
N  0.764  0.764  0.521

The 10 most intense peaks (2θ from 5° to 70°), low angle first:
2θ 16.87, I 29
2θ 19.52, I 10
2θ 27.73, I 9
2θ 32.65, I 16
2θ 34.14, I 100
2θ 39.62, I 77
2θ 57.27, I 42
2θ 57.35, I 8
2θ 68.38, I 36
2θ 68.46, I 7

***

No. 2
Calculated powder X-ray diffraction pattern of Na2Tl5 for Cu Kα (λ = 1.5418 Å), from a GGA-PBE-relaxed structure.
Kinematic intensities with the Lorentz-polarization factor, no thermal factor.

Crystal structure
Lattice parameters (Å, degrees): 8.305 8.305 8.305 39.52 39.52 39.52
Fractional coordinates of all 7 atoms:
Na  0.141  0.141  0.141
Na  0.859  0.859  0.859
Tl  0.000  0.000  0.000
Tl  0.286  0.286  0.286
Tl  0.428  0.428  0.428
Tl  0.572  0.572  0.572
Tl  0.714  0.714  0.714

The 10 most intense peaks (2θ from 5° to 70°), low angle first:
2θ 11.57, I 34
2θ 18.65, I 16
2θ 23.99, I 17
2θ 31.87, I 100
2θ 32.96, I 91
2θ 34.02, I 16
2θ 46.51, I 36
2θ 56.79, I 20
2θ 57.49, I 38
2θ 59.54, I 17

***

No. 3
Calculated powder X-ray diffraction pattern of Ho4Ge3Au for Cu Kα (λ = 1.5418 Å), from a GGA-PBE-relaxed structure.
Kinematic intensities with the Lorentz-polarization factor, no thermal factor.

Crystal structure
Lattice parameters (Å, degrees): 4.078 4.180 10.859 90.00 90.00 90.00
Fractional coordinates of all 8 atoms:
Ho  0.000  0.000  0.000
Ho  0.000  0.500  0.496
Ho  0.500  0.000  0.721
Ho  0.500  0.500  0.223
Ge  0.000  0.000  0.271
Ge  0.500  0.000  0.444
Ge  0.500  0.500  0.948
Au  0.000  0.500  0.775

The 10 most intense peaks (2θ from 5° to 70°), low angle first:
2θ 31.74, I 100
2θ 32.73, I 27
2θ 33.00, I 33
2θ 39.66, I 61
2θ 39.89, I 17
2θ 43.29, I 24
2θ 44.43, I 22
2θ 55.50, I 21
2θ 56.44, I 14
2θ 63.77, I 15

***

No. 4
Calculated powder X-ray diffraction pattern of Dy10Ti6O27 for Cu Kα (λ = 1.5418 Å), from a GGA-PBE-relaxed structure.
Kinematic intensities with the Lorentz-polarization factor, no thermal factor.

Crystal structure
Lattice parameters (Å, degrees): 7.439 7.439 12.548 107.97 107.97 58.57
Fractional coordinates of all 43 atoms:
Dy  0.000  0.000  0.000
Dy  0.003  0.003  0.505
Dy  0.239  0.748  0.734
Dy  0.262  0.771  0.257
Dy  0.263  0.263  0.276
Dy  0.270  0.270  0.769
Dy  0.537  0.537  0.993
Dy  0.748  0.239  0.734
Dy  0.771  0.262  0.257
Dy  0.774  0.774  0.235
Ti  0.000  0.511  0.496
Ti  0.023  0.496  0.005
Ti  0.496  0.023  0.005
Ti  0.511  0.000  0.496
Ti  0.518  0.518  0.509
Ti  0.772  0.772  0.759
O  0.054  0.546  0.662
O  0.084  0.084  0.190
O  0.087  0.087  0.692
O  0.096  0.521  0.165
O  0.238  0.641  0.541
O  0.244  0.688  0.068
O  0.255  0.255  0.459
O  0.283  0.283  0.954
O  0.319  0.894  0.944
O  0.373  0.844  0.478
O  0.455  0.455  0.813
O  0.461  0.461  0.345
O  0.494  0.912  0.319
O  0.521  0.096  0.165
O  0.546  0.054  0.662
O  0.598  0.962  0.865
O  0.614  0.614  0.675
O  0.641  0.238  0.541
O  0.688  0.244  0.068
O  0.728  0.728  0.042
O  0.823  0.823  0.502
O  0.844  0.373  0.478
O  0.894  0.319  0.944
O  0.912  0.494  0.319
O  0.932  0.932  0.799
O  0.949  0.949  0.317
O  0.962  0.598  0.865

The 10 most intense peaks (2θ from 5° to 70°), low angle first:
2θ 29.44, I 54
2θ 29.88, I 100
2θ 30.47, I 46
2θ 34.18, I 21
2θ 34.93, I 44
2θ 49.00, I 28
2θ 50.14, I 17
2θ 50.34, I 38
2θ 59.22, I 14
2θ 59.81, I 14

***

No. 5
Calculated powder X-ray diffraction pattern of Ac2INCl for Cu Kα (λ = 1.5418 Å), from a GGA-PBE-relaxed structure.
Kinematic intensities with the Lorentz-polarization factor, no thermal factor.

Crystal structure
Lattice parameters (Å, degrees): 8.734 8.734 12.101 127.71 127.71 28.28
Fractional coordinates of all 10 atoms:
Ac  0.076  0.076  0.288
Ac  0.368  0.368  0.939
Ac  0.632  0.632  0.061
Ac  0.924  0.924  0.712
I  0.323  0.323  0.410
I  0.677  0.677  0.590
N  0.457  0.457  0.838
N  0.543  0.543  0.162
Cl  0.143  0.143  0.856
Cl  0.857  0.857  0.144

The 10 most intense peaks (2θ from 5° to 70°), low angle first:
2θ 10.49, I 43
2θ 21.06, I 22
2θ 26.08, I 100
2θ 27.14, I 15
2θ 29.22, I 17
2θ 31.35, I 29
2θ 33.87, I 17
2θ 34.11, I 23
2θ 35.91, I 21
2θ 42.37, I 15

***

No. 6
Calculated powder X-ray diffraction pattern of ZrCoHg2 for Cu Kα (λ = 1.5418 Å), from a GGA-PBE-relaxed structure.
Kinematic intensities with the Lorentz-polarization factor, no thermal factor.

Crystal structure
Lattice parameters (Å, degrees): 3.369 3.572 6.807 90.00 104.10 90.00
Fractional coordinates of all 4 atoms:
Zr  0.000  0.000  0.000
Co  0.562  0.500  0.127
Hg  0.358  0.500  0.711
Hg  0.712  0.000  0.425

The 10 most intense peaks (2θ from 5° to 70°), low angle first:
2θ 13.41, I 18
2θ 28.41, I 41
2θ 33.43, I 37
2θ 33.56, I 37
2θ 37.08, I 81
2θ 37.31, I 100
2θ 41.01, I 21
2θ 51.14, I 20
2θ 62.52, I 30
2θ 67.59, I 23

***

No. 7
Calculated powder X-ray diffraction pattern of LiCeHg for Cu Kα (λ = 1.5418 Å), from a GGA-PBE-relaxed structure.
Kinematic intensities with the Lorentz-polarization factor, no thermal factor.

Crystal structure
Lattice parameters (Å, degrees): 12.138 12.138 12.138 164.24 164.24 22.36
Fractional coordinates of all 6 atoms:
Li  0.216  0.216  0.000
Li  0.784  0.784  0.000
Ce  0.056  0.056  0.000
Ce  0.944  0.944  0.000
Hg  0.346  0.346  0.000
Hg  0.654  0.654  0.000

The 10 most intense peaks (2θ from 5° to 70°), low angle first:
2θ 14.88, I 26
2θ 29.09, I 100
2θ 37.81, I 82
2θ 38.24, I 43
2θ 41.25, I 9
2θ 54.84, I 26
2θ 55.19, I 15
2θ 57.44, I 14
2θ 63.60, I 22
2θ 68.84, I 35

***

No. 8
Calculated powder X-ray diffraction pattern of Tm6In5Pb for Cu Kα (λ = 1.5418 Å), from a GGA-PBE-relaxed structure.
Kinematic intensities with the Lorentz-polarization factor, no thermal factor.

Crystal structure
Lattice parameters (Å, degrees): 7.746 7.746 8.651 90.00 90.00 143.14
Fractional coordinates of all 12 atoms:
Tm  0.000  0.000  0.249
Tm  0.000  0.000  0.751
Tm  0.333  0.667  0.248
Tm  0.333  0.667  0.752
Tm  0.667  0.333  0.248
Tm  0.667  0.333  0.752
In  0.166  0.834  0.000
In  0.171  0.829  0.500
In  0.500  0.500  0.000
In  0.829  0.171  0.500
In  0.834  0.166  0.000
Pb  0.500  0.500  0.500

The 10 most intense peaks (2θ from 5° to 70°), low angle first:
2θ 20.53, I 1
2θ 25.72, I 1
2θ 33.14, I 100
2θ 36.69, I 38
2θ 41.77, I 13
2θ 42.41, I 1
2θ 52.87, I 13
2θ 56.79, I 21
2θ 63.83, I 30
2θ 69.54, I 12

***

No. 9
Calculated powder X-ray diffraction pattern of AlCdCu3Se4 for Cu Kα (λ = 1.5418 Å), from a GGA-PBE-relaxed structure.
Kinematic intensities with the Lorentz-polarization factor, no thermal factor.

Crystal structure
Lattice parameters (Å, degrees): 5.871 5.871 5.871 90.00 90.00 90.00
Fractional coordinates of all 9 atoms:
Al  0.000  0.000  0.000
Cd  0.500  0.500  0.500
Cu  0.000  0.000  0.500
Cu  0.000  0.500  0.000
Cu  0.500  0.000  0.000
Se  0.238  0.238  0.238
Se  0.238  0.762  0.762
Se  0.762  0.238  0.762
Se  0.762  0.762  0.238

The 10 most intense peaks (2θ from 5° to 70°), low angle first:
2θ 21.41, I 8
2θ 26.29, I 100
2θ 34.15, I 1
2θ 37.53, I 4
2θ 43.61, I 87
2θ 51.64, I 44
2θ 58.86, I 3
2θ 63.37, I 13
2θ 67.72, I 2
2θ 69.84, I 17

***

No. 10
Calculated powder X-ray diffraction pattern of ZrTiW3 for Cu Kα (λ = 1.5418 Å), from a GGA-PBE-relaxed structure.
Kinematic intensities with the Lorentz-polarization factor, no thermal factor.

Crystal structure
Lattice parameters (Å, degrees): 4.622 4.622 4.622 90.00 90.00 90.00
Fractional coordinates of all 5 atoms:
Zr  0.000  0.000  0.000
Ti  0.500  0.500  0.500
W  0.000  0.500  0.500
W  0.500  0.000  0.500
W  0.500  0.500  0.000

The 9 most intense peaks (2θ from 5° to 70°), low angle first:
2θ 19.20, I 16
2θ 27.29, I 1
2θ 33.58, I 100
2θ 38.97, I 68
2θ 43.80, I 8
2θ 48.23, I 1
2θ 56.30, I 46
2θ 60.05, I 4
2θ 67.18, I 41

***

No. 11
Calculated powder X-ray diffraction pattern of RbCdAgF4 for Cu Kα (λ = 1.5418 Å), from a GGA-PBE-relaxed structure.
Kinematic intensities with the Lorentz-polarization factor, no thermal factor.

Crystal structure
Lattice parameters (Å, degrees): 7.352 7.352 7.352 144.69 144.69 50.80
Fractional coordinates of all 7 atoms:
Rb  0.000  0.000  0.000
Cd  0.356  0.356  0.000
Ag  0.706  0.706  0.000
F  0.192  0.192  0.000
F  0.352  0.852  0.500
F  0.530  0.530  0.000
F  0.852  0.352  0.500

The 10 most intense peaks (2θ from 5° to 70°), low angle first:
2θ 13.33, I 16
2θ 28.30, I 74
2θ 28.41, I 100
2θ 39.46, I 22
2θ 40.45, I 43
2θ 40.76, I 16
2θ 50.17, I 41
2θ 50.36, I 20
2θ 58.78, I 19
2θ 66.29, I 21

***

No. 12
Calculated powder X-ray diffraction pattern of TmZn2Cu3 for Cu Kα (λ = 1.5418 Å), from a GGA-PBE-relaxed structure.
Kinematic intensities with the Lorentz-polarization factor, no thermal factor.

Crystal structure
Lattice parameters (Å, degrees): 4.254 4.254 11.955 90.00 90.00 120.00
Fractional coordinates of all 12 atoms:
Tm  0.000  0.000  0.250
Tm  0.000  0.000  0.750
Zn  0.333  0.667  0.081
Zn  0.333  0.667  0.419
Zn  0.667  0.333  0.581
Zn  0.667  0.333  0.919
Cu  0.000  0.000  0.000
Cu  0.000  0.000  0.500
Cu  0.333  0.667  0.630
Cu  0.333  0.667  0.870
Cu  0.667  0.333  0.130
Cu  0.667  0.333  0.370

The 10 most intense peaks (2θ from 5° to 70°), low angle first:
2θ 24.16, I 14
2θ 28.46, I 34
2θ 38.80, I 100
2θ 42.50, I 91
2θ 45.21, I 16
2θ 51.94, I 7
2θ 58.89, I 29
2θ 64.03, I 9
2θ 67.66, I 8
2θ 69.28, I 6

***

Copy entry 10 word for word.
Calculated powder X-ray diffraction pattern of ZrTiW3 for Cu Kα (λ = 1.5418 Å), from a GGA-PBE-relaxed structure.
Kinematic intensities with the Lorentz-polarization factor, no thermal factor.

Crystal structure
Lattice parameters (Å, degrees): 4.622 4.622 4.622 90.00 90.00 90.00
Fractional coordinates of all 5 atoms:
Zr  0.000  0.000  0.000
Ti  0.500  0.500  0.500
W  0.000  0.500  0.500
W  0.500  0.000  0.500
W  0.500  0.500  0.000

The 9 most intense peaks (2θ from 5° to 70°), low angle first:
2θ 19.20, I 16
2θ 27.29, I 1
2θ 33.58, I 100
2θ 38.97, I 68
2θ 43.80, I 8
2θ 48.23, I 1
2θ 56.30, I 46
2θ 60.05, I 4
2θ 67.18, I 41